Record 1
For NdGa4Co9, a structure optimized by DFT (PBE) gives the simulated PXRD pattern in this record (Cu Kα, 1.54184 Å).
Kinematic intensities with the Lorentz-polarization factor, no thermal factor.

Structural model:
a = 7.9698 Å, b = 7.9698 Å, c = 11.7094 Å
α = 90.00°, β = 90.00°, γ = 90.00°
Space group I4/mcm (No. 140)
Asymmetric unit:
Nd: 0.0000 0.0000 0.2500 [4 per cell]
Ga: 0.1791 0.3209 0.1258 [16 per cell]
Co: 0.0000 0.5000 0.0000 [4 per cell]
Co: 0.0619 0.1980 0.5000 [16 per cell]
Co: 0.1144 0.3856 0.3255 [16 per cell]

Principal peaks in the range 2θ from 10° to 90°, sorted by position:
Position (°2θ)  d_spacing  I (rel.)  index
34.5  2.598  377  1 1 4
35.4  2.539  277  2 2 2
35.6  2.520  277  3 1 0
38.1  2.359  601  2 0 4
38.9  2.315  1000  3 1 2
46.4  1.957  467  2 1 5
47.3  1.923  590  3 2 3
47.7  1.908  704  4 1 1
55.8  1.647  200  4 0 4
83.5  1.157  190  6 2 4


Record 2
For Nd2Sm2Br3N2Cl2, a structure optimized by DFT (PBE) gives the simulated PXRD pattern in this record (Cu Kα, 1.54184 Å).
Kinematic intensities with the Lorentz-polarization factor, no thermal factor.

Structural model:
a = 18.7836 Å, b = 3.6922 Å, c = 8.2353 Å
α = 90.00°, β = 105.30°, γ = 90.00°
Space group C2/m (No. 12)
Asymmetric unit:
Nd: 0.0011 0.0000 0.1988 [4 per cell]
Sm: 0.1621 0.5000 0.1040 [4 per cell]
Br: 0.0000 0.5000 0.5000 [2 per cell]
Br: 0.1689 0.0000 0.8186 [4 per cell]
N: 0.0380 0.5000 0.0227 [4 per cell]
Cl: 0.1575 0.0000 0.3627 [4 per cell]

Principal peaks in the range 2θ from 10° to 90°, sorted by position:
Position (°2θ)  d_spacing  I (rel.)  index
11.1  7.944  736  0 0 1
29.0  3.077  252  3 1 -1
29.6  3.020  713  6 0 0
32.0  2.799  188  3 1 1
32.6  2.748  1000  1 1 -2
34.4  2.606  344  4 0 -3
43.9  2.064  365  7 1 -2
45.3  2.002  393  5 1 2
49.4  1.846  179  0 2 0
58.6  1.575  199  6 2 0


Record 3
For Gd3Pd5, a structure optimized by DFT (PBE) gives the simulated PXRD pattern in this record (Cu Kα, 1.54184 Å).
Kinematic intensities with the Lorentz-polarization factor, no thermal factor.

Structural model:
a = 9.2299 Å, b = 7.1730 Å, c = 9.7149 Å
α = 90.00°, β = 90.00°, γ = 90.00°
Space group Cmcm (No. 63)
Asymmetric unit:
Gd: 0.0000 0.1215 0.2500 [4 per cell]
Gd: 0.2026 0.5000 0.0000 [8 per cell]
Pd: 0.0000 0.1865 0.5475 [8 per cell]
Pd: 0.0000 0.4785 0.7500 [4 per cell]
Pd: 0.2235 0.2160 0.7500 [8 per cell]

Principal peaks in the range 2θ from 10° to 90°, sorted by position:
Position (°2θ)  d_spacing  I (rel.)  index
31.6  2.828  140  3 1 0
33.0  2.718  160  2 2 1
36.7  2.446  1000  2 2 2
37.0  2.429  325  0 0 4
38.9  2.315  199  1 3 0
39.0  2.307  217  4 0 0
42.4  2.131  321  2 2 3
54.8  1.676  127  1 3 4
54.9  1.672  165  4 0 4
76.0  1.252  125  5 3 4